1.
Computed powder diffraction line list of TmMg2GaAu4 for Cu Kα, 1.54184 Å, from DFT lattice parameters and positions (GGA-PBE).
No peak broadening, texture or thermal motion is included.

Peak list (10 most intense, 2θ from 10° to 90°, by angle)
index	2θ/deg	I/Imax
0 1 2	23.21	19
1 0 4	26.42	51
0 1 8	36.71	100
1 1 0	38.67	97
1 0 10	43.01	14
2 0 8	54.38	33
1 0 16	64.79	14
1 2 8	68.71	32
3 0 0	69.99	17
2 2 0	82.94	11

Structural model:
abc: 4.6565 4.6565 24.6440
angles: 90.00 90.00 120.00
Space group R-3m (No. 166, hexagonal axes)
One atom of each set of equivalent atoms:
Tm 0.0000 0.0000 0.0000 [3 per cell]
Mg 0.0000 0.0000 0.2449 [6 per cell]
Ga 0.0000 0.0000 0.5000 [3 per cell]
Au 0.0000 0.0000 0.1235 [6 per cell]
Au 0.0000 0.0000 0.3858 [6 per cell]

***

2.
Computed powder diffraction line list of YMgGa2Au4 for Cu Kα, 1.54184 Å, from DFT lattice parameters and positions (GGA-PBE).
No peak broadening, texture or thermal motion is included.

Peak list (10 most intense, 2θ from 10° to 90°, by angle)
index	2θ/deg	I/Imax
1 0 4	26.50	60
1 0 7	33.47	19
0 1 8	36.24	93
1 1 0	39.36	100
0 1 11	45.44	13
0 2 4	48.08	13
2 0 8	54.57	29
1 1 15	68.97	17
1 2 8	69.34	28
3 0 0	71.37	17

Structural model:
abc: 4.5781 4.5781 25.4092
angles: 90.00 90.00 120.00
Space group R-3m (No. 166, hexagonal axes)
One atom of each set of equivalent atoms:
Y 0.0000 0.0000 0.0000 [3 per cell]
Mg 0.0000 0.0000 0.5000 [3 per cell]
Ga 0.0000 0.0000 0.2478 [6 per cell]
Au 0.0000 0.0000 0.1314 [6 per cell]
Au 0.0000 0.0000 0.3911 [6 per cell]